Simulated XRD peak list
Compound: CoH6Se2O8
Radiation: Cu Kα (λ = 1.5418 Å)
Structure: a PBE+U-relaxed structure
Lines closer than 0.1° are merged.

Cell and atoms:
Cell lengths 7.177, 7.089, 8.489 Å; angles 90.00, 116.17, 90.00 degrees
Space group P2_1/c (No. 14)
Inequivalent atoms, fractional coordinates:
Co: 0.000 0.000 0.000 [2 per cell]
H: 0.111 0.216 0.377 [4 per cell]
H: 0.214 0.171 0.581 [4 per cell]
H: 0.499 0.000 0.752 [4 per cell]
Se: 0.314 0.711 0.355 [4 per cell]
O: 0.069 0.652 0.320 [4 per cell]
O: 0.189 0.225 0.996 [4 per cell]
O: 0.276 0.596 0.723 [4 per cell]
O: 0.347 0.529 0.216 [4 per cell]

Top 6 peaks for 2θ from 5° to 70°, sorted by position:
| index | d/Å | intensity |
| --- | --- | --- |
| 0 1 1 | 5.190 | 56 |
| 1 1 0 | 4.767 | 100 |
| 1 1 -2 | 3.605 | 49 |
| 0 1 2 | 3.356 | 53 |
| 1 0 2 | 2.785 | 33 |
| 1 2 -2 | 2.705 | 51 |